No. 1
The following is a computed powder diffraction line list of GdSbPt. It was derived from a GGA-PBE-relaxed structure, using Cu Kα X-rays.
Kinematic intensities with the Lorentz-polarization factor, no thermal factor.

Atomic structure:
a = 6.6674 Å, b = 6.6674 Å, c = 6.6674 Å
α = 90.00°, β = 90.00°, γ = 90.00°
Space group F-43m (No. 216)
Unique sites:
Gd1 0.0000 0.0000 0.0000 [4 per cell]
Sb1 0.0000 0.0000 0.5000 [4 per cell]
Pt1 0.2500 0.2500 0.2500 [4 per cell]

Main lines, most intense first (2θ = 15–90°):
2theta	d [Å]	Rel. int.
38.18	2.357	100.0
23.11	3.849	41.7
69.01	1.361	35.3
45.10	2.010	21.9
55.10	1.667	17.3
81.70	1.179	11.2
60.53	1.530	9.2
86.32	1.127	7.1
73.86	1.283	6.9
26.74	3.334	4.3


No. 2
The following is a computed powder diffraction line list of K6MnS4. It was derived from a GGA-PBE-relaxed structure, using Cu Kα X-rays.
Kinematic intensities with the Lorentz-polarization factor, no thermal factor.

Atomic structure:
a = 9.9100 Å, b = 9.9100 Å, c = 7.7555 Å
α = 90.00°, β = 90.00°, γ = 120.00°
Space group P6_3mc (No. 186)
Unique sites:
K1 0.0604 0.5302 0.0000 [6 per cell]
K2 0.1466 0.2931 0.6751 [6 per cell]
Mn1 0.3333 0.6667 0.3860 [2 per cell]
S1 0.1970 0.3940 0.2870 [6 per cell]
S2 0.3333 0.6667 0.7028 [2 per cell]

Main lines, most intense first (2θ = 15–90°):
2theta	d [Å]	Rel. int.
36.27	2.477	100.0
29.86	2.993	82.8
31.09	2.877	79.1
33.38	2.684	33.1
15.40	5.754	24.2
25.20	3.534	20.5
58.97	1.566	19.8
40.75	2.214	18.2
54.77	1.676	15.5
52.10	1.756	11.9


No. 3
The following is a computed powder diffraction line list of Li2MnCl4. It was derived from a GGA-PBE-relaxed structure, using Cu Kα X-rays.
Kinematic intensities with the Lorentz-polarization factor, no thermal factor.

Atomic structure:
a = 7.5132 Å, b = 7.5304 Å, c = 10.4341 Å
α = 90.00°, β = 90.00°, γ = 90.00°
Space group Imma (No. 74)
Unique sites:
Li1 0.0000 0.2500 0.1308 [4 per cell]
Li2 0.2500 0.2500 0.7500 [4 per cell]
Mn1 0.0000 0.0000 0.5000 [4 per cell]
Cl1 0.0000 0.0123 0.7395 [8 per cell]
Cl2 0.2347 0.2500 0.5048 [8 per cell]

Main lines, most intense first (2θ = 15–90°):
2theta	d [Å]	Rel. int.
33.70	2.659	100.0
48.91	1.862	66.0
29.27	3.051	51.6
34.38	2.609	46.7
27.85	3.204	28.9
17.00	5.217	19.2
44.29	2.045	17.7
23.66	3.760	17.7
48.35	1.883	17.4
48.46	1.878	17.0


- Number 1 is which compound?
  GdSbPt